(1)
Starting from a GGA-PBE-relaxed structure, the powder diffractogram of Tl4In4Hg7 was computed for a wavelength of 1.5418 Å.

Cell and atoms:
```
data_Tl4In4Hg7
_cell_length_a 6.7080
_cell_length_b 11.7045
_cell_length_c 11.7160
_cell_angle_alpha 83.99
_cell_angle_beta 74.04
_cell_angle_gamma 74.68
_symmetry_space_group_name_H-M 'P -1'
_symmetry_Int_Tables_number 2
loop_
_symmetry_equiv_pos_as_xyz
'x,y,z'
'-x,-y,-z'
loop_
_atom_site_label
_atom_site_type_symbol
_atom_site_fract_x
_atom_site_fract_y
_atom_site_fract_z
Tl1 Tl 0.0038 0.1865 0.3122
Tl2 Tl 0.1990 0.8197 0.3207
Tl3 Tl 0.3607 0.2616 0.4893
Tl4 Tl 0.3648 0.9895 0.7627
In1 In 0.0901 0.4978 0.3404
In2 In 0.0923 0.8366 0.9925
In3 In 0.4044 0.2385 0.9625
In4 In 0.4052 0.4622 0.7386
Hg1 Hg 0.9999 0.3990 0.1020
Hg2 Hg 0.1539 0.2688 0.7699
Hg3 Hg 0.2508 0.9990 0.5015
Hg4 Hg 0.2729 0.0080 0.0987
Hg5 Hg 0.2767 0.6010 0.5114
Hg6 Hg 0.3069 0.5797 0.0801
Hg7 Hg 0.4955 0.2968 0.2044
```

Peak list (10 most intense, 2θ from 10° to 90°, in order of falling intensity)
2θ/deg  Rel. int.  index
32.26  100  2 3 2
31.36  73  1 -2 3
31.60  56  1 3 -2
30.31  50  -1 2 2
30.91  46  1 3 3
30.63  46  1 -3 0
31.16  40  1 1 -3
30.79  36  1 0 -3
33.14  32  0 3 3
34.33  30  0 3 -3

=====

(2)
Starting from a GGA-PBE-relaxed structure, the powder diffractogram of Li2CeB9 was computed for a wavelength of 1.5418 Å.

Cell and atoms:
```
data_Li2CeB9
_cell_length_a 4.5008
_cell_length_b 4.5008
_cell_length_c 19.8711
_cell_angle_alpha 90.00
_cell_angle_beta 90.00
_cell_angle_gamma 120.00
_symmetry_space_group_name_H-M 'R -3 m'
_symmetry_Int_Tables_number 166
_symmetry_space_group_name_Hall '-R 3 2"'
loop_
_atom_site_label
_atom_site_type_symbol
_atom_site_fract_x
_atom_site_fract_y
_atom_site_fract_z
Li1 Li 0.0000 0.0000 0.1390
Ce1 Ce 0.0000 0.0000 0.0000
B1 B 0.0000 0.0000 0.4127
B2 B 0.0000 0.0000 0.5000
B3 B 0.0888 0.5444 0.9103
```

Peak list (10 most intense, 2θ from 10° to 90°, in order of falling intensity)
2θ/deg  Rel. int.  index
13.37  100  0 0 3
24.53  98  0 1 2
29.12  92  1 0 4
23.26  87  1 0 1
32.17  70  0 1 5
40.07  45  1 1 0
42.42  43  1 1 3
39.26  40  1 0 7
43.19  37  0 1 8
48.93  37  1 1 6

=====

(3)
Starting from a GGA-PBE-relaxed structure, the powder diffractogram of CaMnCo was computed for a wavelength of 1.5418 Å.

Cell and atoms:
```
data_CaMnCo
_cell_length_a 5.9973
_cell_length_b 5.3769
_cell_length_c 6.9198
_cell_angle_alpha 90.00
_cell_angle_beta 91.45
_cell_angle_gamma 90.00
_symmetry_space_group_name_H-M 'C 1 2/m 1'
_symmetry_Int_Tables_number 12
loop_
_symmetry_equiv_pos_as_xyz
'x,y,z'
'-x,-y,-z'
'-x,y,-z'
'x,-y,z'
'x+1/2,y+1/2,z'
'-x+1/2,-y+1/2,-z'
'-x+1/2,y+1/2,-z'
'x+1/2,-y+1/2,z'
loop_
_atom_site_label
_atom_site_type_symbol
_atom_site_fract_x
_atom_site_fract_y
_atom_site_fract_z
Ca1 Ca 0.2470 0.0000 0.1688
Mn1 Mn 0.0000 0.2798 0.5000
Co1 Co 0.2151 0.0000 0.6446
```

Peak list (10 most intense, 2θ from 10° to 90°, in order of falling intensity)
2θ/deg  Rel. int.  index
12.80  100  0 0 1
34.56  38  1 1 2
45.31  32  2 2 0
33.97  22  1 1 -2
39.27  16  2 0 -2
42.59  14  0 2 2
47.51  9  2 2 1
59.97  8  1 3 -2
32.24  7  2 0 -1
64.02  7  0 2 4

=====

(4)
Starting from a GGA-PBE-relaxed structure, the powder diffractogram of Ac2Al4InAu3 was computed for a wavelength of 1.5418 Å.

Cell and atoms:
```
data_Ac2Al4InAu3
_cell_length_a 4.5591
_cell_length_b 4.5591
_cell_length_c 10.9042
_cell_angle_alpha 90.00
_cell_angle_beta 90.00
_cell_angle_gamma 90.00
_symmetry_space_group_name_H-M 'P -4 m 2'
_symmetry_Int_Tables_number 115
loop_
_symmetry_equiv_pos_as_xyz
'x,y,z'
'y,-x,-z'
'-x,-y,z'
'-y,x,-z'
'-x,y,z'
'-y,-x,-z'
'x,-y,z'
'y,x,-z'
loop_
_atom_site_label
_atom_site_type_symbol
_atom_site_fract_x
_atom_site_fract_y
_atom_site_fract_z
Ac1 Ac 0.0000 0.5000 0.2452
Al1 Al 0.0000 0.0000 0.0000
Al2 Al 0.0000 0.5000 0.6419
Al3 Al 0.5000 0.5000 0.0000
In1 In 0.0000 0.0000 0.5000
Au1 Au 0.0000 0.5000 0.8779
Au2 Au 0.5000 0.5000 0.5000
```

Peak list (10 most intense, 2θ from 10° to 90°, in order of falling intensity)
2θ/deg  Rel. int.  index
32.26  100  1 1 2
31.48  95  1 0 3
39.53  71  2 0 0
28.88  56  1 1 1
51.38  50  2 1 3
46.14  32  1 0 5
27.67  31  1 1 0
25.47  29  1 0 2
62.34  27  2 1 5
67.16  25  3 1 2

=====

(5)
Starting from a GGA-PBE-relaxed structure, the powder diffractogram of CsPAu2S4 was computed for a wavelength of 1.5418 Å.

Cell and atoms:
```
data_CsPAu2S4
_cell_length_a 6.1498
_cell_length_b 8.4388
_cell_length_c 9.1226
_cell_angle_alpha 90.00
_cell_angle_beta 90.00
_cell_angle_gamma 90.00
_symmetry_space_group_name_H-M 'I 2 2 2'
_symmetry_Int_Tables_number 23
loop_
_symmetry_equiv_pos_as_xyz
'x,y,z'
'-x,-y,z'
'x,-y,-z'
'-x,y,-z'
'x+1/2,y+1/2,z+1/2'
'-x+1/2,-y+1/2,z+1/2'
'x+1/2,-y+1/2,-z+1/2'
'-x+1/2,y+1/2,-z+1/2'
loop_
_atom_site_label
_atom_site_type_symbol
_atom_site_fract_x
_atom_site_fract_y
_atom_site_fract_z
Cs1 Cs 0.0000 0.0000 0.0000
P1 P 0.0000 0.0000 0.5000
Au1 Au 0.0000 0.5000 0.1612
S1 S 0.1820 0.1498 0.3652
```

Peak list (10 most intense, 2θ from 10° to 90°, in order of falling intensity)
2θ/deg  Rel. int.  index
26.52  100  1 1 2
21.06  95  0 2 0
31.27  85  0 1 3
27.44  84  1 2 1
17.39  78  1 0 1
36.15  63  2 2 0
14.30  49  0 1 1
43.19  47  2 1 3
17.85  38  1 1 0
53.45  38  2 3 3

=====

(6)
Starting from a GGA-PBE-relaxed structure, the powder diffractogram of TbThCoPd was computed for a wavelength of 1.5418 Å.

Cell and atoms:
```
data_TbThCoPd
_cell_length_a 4.0066
_cell_length_b 3.8095
_cell_length_c 11.4869
_cell_angle_alpha 90.00
_cell_angle_beta 90.00
_cell_angle_gamma 90.00
_symmetry_space_group_name_H-M 'A m m 2'
_symmetry_Int_Tables_number 38
loop_
_symmetry_equiv_pos_as_xyz
'x,y,z'
'-x,-y,z'
'-x,y,z'
'x,-y,z'
'x,y+1/2,z+1/2'
'-x,-y+1/2,z+1/2'
'-x,y+1/2,z+1/2'
'x,-y+1/2,z+1/2'
loop_
_atom_site_label
_atom_site_type_symbol
_atom_site_fract_x
_atom_site_fract_y
_atom_site_fract_z
Tb1 Tb 0.0000 0.0000 0.0000
Th1 Th 0.5000 0.0000 0.7202
Co1 Co 0.0000 0.0000 0.2522
Pd1 Pd 0.5000 0.0000 0.4333
```

Peak list (10 most intense, 2θ from 10° to 90°, in order of falling intensity)
2θ/deg  Rel. int.  index
33.38  100  1 1 1
40.27  54  1 1 3
31.14  42  0 0 4
33.17  40  0 1 3
27.14  31  1 0 2
45.27  23  2 0 0
47.75  19  0 2 0
51.77  18  1 1 5
57.26  17  2 1 3
38.57  17  1 0 4

=====

Please write out number 1 again, unchanged.
Starting from a GGA-PBE-relaxed structure, the powder diffractogram of Tl4In4Hg7 was computed for a wavelength of 1.5418 Å.

Cell and atoms:
```
data_Tl4In4Hg7
_cell_length_a 6.7080
_cell_length_b 11.7045
_cell_length_c 11.7160
_cell_angle_alpha 83.99
_cell_angle_beta 74.04
_cell_angle_gamma 74.68
_symmetry_space_group_name_H-M 'P -1'
_symmetry_Int_Tables_number 2
loop_
_symmetry_equiv_pos_as_xyz
'x,y,z'
'-x,-y,-z'
loop_
_atom_site_label
_atom_site_type_symbol
_atom_site_fract_x
_atom_site_fract_y
_atom_site_fract_z
Tl1 Tl 0.0038 0.1865 0.3122
Tl2 Tl 0.1990 0.8197 0.3207
Tl3 Tl 0.3607 0.2616 0.4893
Tl4 Tl 0.3648 0.9895 0.7627
In1 In 0.0901 0.4978 0.3404
In2 In 0.0923 0.8366 0.9925
In3 In 0.4044 0.2385 0.9625
In4 In 0.4052 0.4622 0.7386
Hg1 Hg 0.9999 0.3990 0.1020
Hg2 Hg 0.1539 0.2688 0.7699
Hg3 Hg 0.2508 0.9990 0.5015
Hg4 Hg 0.2729 0.0080 0.0987
Hg5 Hg 0.2767 0.6010 0.5114
Hg6 Hg 0.3069 0.5797 0.0801
Hg7 Hg 0.4955 0.2968 0.2044
```

Peak list (10 most intense, 2θ from 10° to 90°, in order of falling intensity)
2θ/deg  Rel. int.  index
32.26  100  2 3 2
31.36  73  1 -2 3
31.60  56  1 3 -2
30.31  50  -1 2 2
30.91  46  1 3 3
30.63  46  1 -3 0
31.16  40  1 1 -3
30.79  36  1 0 -3
33.14  32  0 3 3
34.33  30  0 3 -3